[1]
The following is a simulated X-ray diffraction stick pattern of Co4Os. It was derived from a DFT-relaxed cell (GGA-PBE, the Materials Project), using CuKα.
Neutral-atom scattering factors, no anomalous dispersion.

Structural model:
a = 2.5931 Å, b = 2.5931 Å, c = 30.6481 Å
α = 90.00°, β = 90.00°, γ = 120.00°
Space group R-3m (No. 166, hexagonal axes)
Symmetry-distinct sites (fractional):
Co1 0.0000 0.0000 0.0968
Co2 0.0000 0.0000 0.3009
Os1 0.0000 0.0000 0.5000

Largest 10 diffraction maxima, most intense first, 2θ from 10° to 80°:
| (hkl) | 2θ (°) | intensity |
| --- | --- | --- |
| 0 1 5 | 42.89 | 100.0 |
| 1 0 10 | 50.37 | 61.0 |
| 0 0 15 | 44.33 | 29.5 |
| 0 0 6 | 17.36 | 24.1 |
| 1 1 0 | 72.97 | 19.4 |
| 0 1 20 | 75.04 | 17.1 |
| 0 0 9 | 26.17 | 11.5 |
| 0 1 2 | 40.60 | 10.6 |
| 1 0 1 | 40.27 | 9.9 |
| 1 0 7 | 45.39 | 9.5 |

[2]
The following is a simulated X-ray diffraction stick pattern of YTa3O9. It was derived from a DFT-relaxed cell (GGA-PBE, the Materials Project), using CuKα.
Neutral-atom scattering factors, no anomalous dispersion.

Structural model:
a = 5.5622 Å, b = 8.8236 Å, c = 8.8609 Å
α = 66.51°, β = 71.71°, γ = 71.65°
Space group P1 (No. 1)
Symmetry-distinct sites (fractional):
Y1 0.0000 0.0000 0.0000
Y2 0.3486 0.2841 0.9960
Ta1 0.0826 0.5627 0.2442
Ta2 0.2448 0.7244 0.7524
Ta3 0.4150 0.8804 0.2642
Ta4 0.5893 0.0530 0.7389
Ta5 0.7407 0.2356 0.2542
Ta6 0.9146 0.4071 0.7323
O1 0.0845 0.5440 0.7706
O2 0.0877 0.0685 0.2190
O3 0.1626 0.6464 0.9979
O4 0.2371 0.2199 0.7765
O5 0.2402 0.7422 0.2287
O6 0.3290 0.8092 0.5029
O7 0.3841 0.8980 0.7697
O8 0.4140 0.3928 0.2242
O9 0.4741 0.9995 0.9977
O10 0.5653 0.5423 0.7689
O11 0.5865 0.0710 0.2166
O12 0.6638 0.1443 0.4973
O13 0.7392 0.2148 0.7778
O14 0.7605 0.7444 0.2263
O15 0.8389 0.2871 0.9970
O16 0.9071 0.8913 0.7693
O17 0.9365 0.3927 0.2250
O18 0.9971 0.4766 0.4937

Largest 10 diffraction maxima, most intense first, 2θ from 10° to 80°:
| (hkl) | 2θ (°) | intensity |
| --- | --- | --- |
| 1 2 1 | 22.56 | 100.0 |
| 1 2 -1 | 32.04 | 80.7 |
| -1 1 2 | 32.00 | 54.4 |
| 0 0 2 | 22.41 | 49.2 |
| 2 -2 0 | 46.07 | 33.8 |
| 2 1 1 | 32.19 | 27.2 |
| 1 5 2 | 51.80 | 26.6 |
| 3 0 -1 | 57.28 | 21.8 |
| -1 4 3 | 57.12 | 19.8 |
| 1 2 5 | 51.59 | 19.7 |

[3]
The following is a simulated X-ray diffraction stick pattern of TiZnO2. It was derived from a DFT-relaxed cell (GGA-PBE, the Materials Project), using CuKα.
Neutral-atom scattering factors, no anomalous dispersion.

Structural model:
a = 14.5979 Å, b = 2.9482 Å, c = 11.2990 Å
α = 90.00°, β = 121.37°, γ = 90.00°
Space group C2/m (No. 12)
Symmetry-distinct sites (fractional):
Ti1 0.1167 0.0000 0.2253
Ti2 0.1469 0.5000 0.9630
Zn1 0.0283 0.5000 0.4051
Zn2 0.1369 0.0000 0.6407
O1 0.0072 0.5000 0.1849
O2 0.1239 0.0000 0.0674
O3 0.1909 0.0000 0.8832
O4 0.2120 0.5000 0.3214

Largest 10 diffraction maxima, most intense first, 2θ from 10° to 80°:
| (hkl) | 2θ (°) | intensity |
| --- | --- | --- |
| 1 1 2 | 38.38 | 100.0 |
| 3 1 -2 | 36.38 | 86.7 |
| 2 0 -3 | 23.62 | 75.3 |
| 3 1 0 | 37.40 | 71.6 |
| 2 0 -1 | 12.26 | 71.0 |
| 5 1 -5 | 52.41 | 68.8 |
| 6 0 -3 | 37.34 | 62.7 |
| 3 1 -4 | 44.48 | 49.2 |
| 3 1 -1 | 35.66 | 48.6 |
| 2 0 -5 | 41.15 | 43.6 |

[4]
The following is a simulated X-ray diffraction stick pattern of Zr8Sc2O19. It was derived from a DFT-relaxed cell (GGA-PBE, the Materials Project), using CuKα.
Neutral-atom scattering factors, no anomalous dispersion.

Structural model:
a = 3.5457 Å, b = 3.6604 Å, c = 25.5246 Å
α = 90.00°, β = 90.27°, γ = 90.00°
Space group Pm (No. 6)
Symmetry-distinct sites (fractional):
Zr1 0.0000 0.0000 0.0000
Zr2 0.9995 0.0000 0.2010
Zr3 0.0006 0.0000 0.7992
Zr4 0.4985 0.5000 0.6988
Zr5 0.4999 0.5000 0.8996
Zr6 0.5008 0.5000 0.1003
Zr7 0.5017 0.5000 0.3019
Zr8 0.9994 0.0000 0.5974
Sc1 0.0031 0.0000 0.3961
Sc2 0.4967 0.5000 0.5039
O1 0.9998 0.5000 0.2567
O2 0.0007 0.5000 0.1564
O3 0.0008 0.5000 0.3600
O4 0.0008 0.5000 0.7476
O5 0.0009 0.5000 0.9524
O6 0.4957 0.0000 0.4561
O7 0.4974 0.0000 0.5548
O8 0.4992 0.0000 0.1475
O9 0.4994 0.0000 0.3475
O10 0.4992 0.0000 0.7532
O11 0.4992 0.0000 0.9501
O12 0.5011 0.0000 0.0507
O13 0.5014 0.0000 0.2491
O14 0.5006 0.0000 0.6556
O15 0.5010 0.0000 0.8535
O16 0.9978 0.5000 0.5411
O17 0.9993 0.5000 0.0524
O18 0.9995 0.5000 0.6426
O19 0.9993 0.5000 0.8477

Largest 10 diffraction maxima, most intense first, 2θ from 10° to 80°:
| (hkl) | 2θ (°) | intensity |
| --- | --- | --- |
| 0 1 5 | 30.04 | 100.0 |
| 1 0 -5 | 30.63 | 49.9 |
| 1 0 5 | 30.77 | 49.5 |
| 1 1 -10 | 50.54 | 39.6 |
| 0 0 10 | 35.21 | 39.2 |
| 1 1 10 | 50.73 | 39.1 |
| 0 2 0 | 49.82 | 21.5 |
| 2 0 0 | 51.55 | 19.2 |
| 1 2 5 | 59.71 | 14.1 |
| 1 2 -5 | 59.63 | 14.1 |

[5]
The following is a simulated X-ray diffraction stick pattern of AlSi3AgO8. It was derived from a DFT-relaxed cell (GGA-PBE, the Materials Project), using CuKα.
Neutral-atom scattering factors, no anomalous dispersion.

Structural model:
a = 7.2796 Å, b = 7.5616 Å, c = 7.8634 Å
α = 115.17°, β = 106.79°, γ = 100.60°
Space group P-1 (No. 2)
Symmetry-distinct sites (fractional):
Al1 0.2110 0.3288 0.1786
Si1 0.2378 0.6812 0.8254
Si2 0.3212 0.0730 0.8039
Si3 0.3642 0.3022 0.5760
Ag1 0.1287 0.7635 0.2590
O1 0.0293 0.6397 0.8608
O2 0.1888 0.1760 0.9248
O3 0.2462 0.8205 0.7127
O4 0.2483 0.4558 0.6821
O5 0.2818 0.2199 0.3325
O6 0.2890 0.0928 0.5965
O7 0.3879 0.5850 0.2983
O8 0.4333 0.8116 0.0495

Largest 10 diffraction maxima, most intense first, 2θ from 10° to 80°:
| (hkl) | 2θ (°) | intensity |
| --- | --- | --- |
| -2 1 1 | 27.34 | 100.0 |
| 0 1 -1 | 13.62 | 98.3 |
| 0 0 2 | 27.52 | 89.2 |
| 0 2 0 | 27.88 | 84.0 |
| 2 0 -1 | 25.01 | 69.2 |
| 2 -1 0 | 25.92 | 65.9 |
| 1 1 -2 | 23.91 | 65.1 |
| 1 2 -1 | 29.68 | 57.6 |
| -2 2 1 | 35.62 | 45.5 |
| 0 3 -3 | 41.71 | 41.4 |

[6]
The following is a simulated X-ray diffraction stick pattern of Na2P2PbO7. It was derived from a DFT-relaxed cell (GGA-PBE, the Materials Project), using CuKα.
Neutral-atom scattering factors, no anomalous dispersion.

Structural model:
a = 5.5938 Å, b = 7.0227 Å, c = 9.5367 Å
α = 106.21°, β = 96.91°, γ = 108.54°
Space group P-1 (No. 2)
Symmetry-distinct sites (fractional):
Na1 0.0989 0.2871 0.4923
Na2 0.3453 0.6355 0.2717
P1 0.2497 0.6391 0.8598
P2 0.4737 0.8603 0.6594
Pb1 0.1396 0.1341 0.8737
O1 0.0130 0.6954 0.8211
O2 0.2130 0.4099 0.7609
O3 0.2414 0.0249 0.3377
O4 0.3211 0.0116 0.6745
O5 0.3331 0.6569 0.5252
O6 0.3473 0.6814 0.0261
O7 0.4904 0.7982 0.8139

Largest 10 diffraction maxima, most intense first, 2θ from 10° to 80°:
| (hkl) | 2θ (°) | intensity |
| --- | --- | --- |
| -1 2 1 | 31.06 | 100.0 |
| 1 0 1 | 21.79 | 68.7 |
| 0 2 -2 | 28.77 | 57.5 |
| 0 1 0 | 14.13 | 43.9 |
| 1 -1 0 | 17.78 | 35.8 |
| 0 1 -2 | 20.18 | 34.6 |
| -1 1 1 | 20.81 | 31.1 |
| 1 0 2 | 29.33 | 28.5 |
| 1 0 -2 | 23.18 | 28.1 |
| 1 -2 0 | 27.31 | 27.7 |

[7]
The following is a simulated X-ray diffraction stick pattern of Mg5Ti. It was derived from a DFT-relaxed cell (GGA-PBE, the Materials Project), using CuKα.
Neutral-atom scattering factors, no anomalous dispersion.

Structural model:
a = 5.4825 Å, b = 5.4825 Å, c = 5.0371 Å
α = 90.00°, β = 90.00°, γ = 120.00°
Space group P-62m (No. 189)
Symmetry-distinct sites (fractional):
Mg1 0.0000 0.6701 0.0000
Mg2 0.3333 0.6667 0.5000
Ti1 0.0000 0.0000 0.5000

Largest 10 diffraction maxima, most intense first, 2θ from 10° to 80°:
| (hkl) | 2θ (°) | intensity |
| --- | --- | --- |
| 1 1 1 | 37.35 | 100.0 |
| 1 1 0 | 32.67 | 25.4 |
| 0 0 2 | 35.65 | 25.3 |
| 3 0 2 | 70.24 | 18.4 |
| 1 1 3 | 65.15 | 17.7 |
| 3 0 0 | 58.30 | 17.2 |
| 1 1 2 | 49.12 | 15.1 |
| 2 2 1 | 71.31 | 13.2 |
| 1 0 0 | 18.69 | 7.1 |
| 1 0 1 | 25.79 | 5.3 |